Calculated powder X-ray diffraction pattern of ErTm6Te8 for λ = 1.5418 Å (Cu Kα), from a cell relaxed with PBE.
Intensities are scaled so that the largest is 100.

Crystal structure
Cell lengths 8.5724, 8.5724, 8.5724 Å; angles 60.00, 60.00, 60.00 degrees
Fractional positions:
Er  0.0000  0.0000  0.0000
Tm  0.0000  0.0000  0.5000
Tm  0.0000  0.5000  0.0000
Tm  0.0000  0.5000  0.5000
Tm  0.5000  0.0000  0.0000
Tm  0.5000  0.0000  0.5000
Tm  0.5000  0.5000  0.0000
Te  0.2500  0.2500  0.2500
Te  0.2562  0.2562  0.7438
Te  0.2562  0.7438  0.2562
Te  0.2562  0.7438  0.7438
Te  0.7438  0.2562  0.2562
Te  0.7438  0.2562  0.7438
Te  0.7438  0.7438  0.2562
Te  0.7500  0.7500  0.7500

Top 10 peaks for 2θ from 10° to 90°, in order of rising 2θ:
d_spacing	I_rel
6.999	3.8
6.062	3.2
3.655	4.2
3.031	100.0
2.781	3.1
2.143	75.5
1.750	26.8
1.515	12.5
1.355	34.2
1.237	25.3

Calculated powder X-ray diffraction pattern of NpTc2P2Pt for λ = 1.5418 Å (Cu Kα), from a cell relaxed with PBE.
Intensities are scaled so that the largest is 100.

Crystal structure
Cell lengths 4.0033, 7.9917, 5.9332 Å; angles 90.00, 90.00, 90.00 degrees
Fractional positions:
Np  0.0000  0.0605  0.0000
Np  0.0000  0.9395  0.5000
Tc  0.0000  0.3322  0.4009
Tc  0.0000  0.6678  0.9009
Tc  0.5000  0.4348  0.0544
Tc  0.5000  0.5652  0.5544
P  0.0000  0.3916  0.7942
P  0.0000  0.6084  0.2942
P  0.5000  0.1908  0.2821
P  0.5000  0.8092  0.7821
Pt  0.5000  0.2104  0.6827
Pt  0.5000  0.7896  0.1827

Top 10 peaks for 2θ from 10° to 90°, in order of rising 2θ:
d_spacing	I_rel
3.065	38.1
2.828	31.4
2.553	91.8
2.430	52.4
2.383	100.0
2.284	68.7
2.218	43.1
2.002	46.2
1.545	37.2
1.326	37.4

Calculated powder X-ray diffraction pattern of CuAgPO4 for λ = 1.5418 Å (Cu Kα), from a cell relaxed with PBE.
Intensities are scaled so that the largest is 100.

Crystal structure
Cell lengths 5.7715, 7.6691, 16.1354 Å; angles 90.00, 90.00, 90.00 degrees
Fractional positions:
Cu  0.1277  0.1896  0.0193
Cu  0.1277  0.3104  0.5193
Cu  0.3723  0.6896  0.0193
Cu  0.3723  0.8104  0.5193
Cu  0.6277  0.1896  0.4807
Cu  0.6277  0.3104  0.9807
Cu  0.8723  0.6896  0.4807
Cu  0.8723  0.8104  0.9807
Ag  0.1354  0.6769  0.7172
Ag  0.1354  0.8231  0.2172
Ag  0.3646  0.1769  0.7172
Ag  0.3646  0.3231  0.2172
Ag  0.6354  0.6769  0.7828
Ag  0.6354  0.8231  0.2828
Ag  0.8646  0.1769  0.7828
Ag  0.8646  0.3231  0.2828
P  0.0900  0.0146  0.3895
P  0.0900  0.4854  0.8895
P  0.4100  0.5146  0.3895
P  0.4100  0.9854  0.8895
P  0.5900  0.0146  0.1105
P  0.5900  0.4854  0.6105
P  0.9100  0.5146  0.1105
P  0.9100  0.9854  0.6105
O  0.0497  0.6619  0.0634
O  0.0497  0.8381  0.5634
O  0.0554  0.1571  0.6116
O  0.0554  0.3429  0.1116
O  0.1249  0.0746  0.2990
O  0.1249  0.4254  0.7990
O  0.1737  0.0111  0.9347
O  0.1737  0.4889  0.4347
O  0.3263  0.5111  0.9347
O  0.3263  0.9889  0.4347
O  0.3751  0.5746  0.2990
O  0.3751  0.9254  0.7990
O  0.4446  0.6571  0.6116
O  0.4446  0.8429  0.1116
O  0.4503  0.1619  0.0634
O  0.4503  0.3381  0.5634
O  0.5497  0.6619  0.4366
O  0.5497  0.8381  0.9366
O  0.5554  0.1571  0.8884
O  0.5554  0.3429  0.3884
O  0.6249  0.0746  0.2010
O  0.6249  0.4254  0.7010
O  0.6737  0.0111  0.5653
O  0.6737  0.4889  0.0653
O  0.8263  0.5111  0.5653
O  0.8263  0.9889  0.0653
O  0.8751  0.5746  0.2010
O  0.8751  0.9254  0.7010
O  0.9446  0.6571  0.8884
O  0.9446  0.8429  0.3884
O  0.9503  0.1619  0.4366
O  0.9503  0.3381  0.9366

Top 10 peaks for 2θ from 10° to 90°, in order of rising 2θ:
d_spacing	I_rel
4.034	35.0
3.731	31.4
3.122	29.6
3.036	31.3
2.970	30.2
2.779	36.8
2.746	42.3
2.664	27.8
2.561	100.0
1.905	27.3

Calculated powder X-ray diffraction pattern of Tm5MgC2 for λ = 1.5418 Å (Cu Kα), from a cell relaxed with PBE.
Intensities are scaled so that the largest is 100.

Crystal structure
Cell lengths 3.6359, 6.4968, 14.4412 Å; angles 90.00, 90.00, 90.00 degrees
Fractional positions:
Tm  0.0000  0.0000  0.0000
Tm  0.0000  0.2506  0.3403
Tm  0.0000  0.2506  0.6597
Tm  0.0000  0.7494  0.3403
Tm  0.0000  0.7494  0.6597
Tm  0.5000  0.2494  0.1597
Tm  0.5000  0.2494  0.8403
Tm  0.5000  0.5000  0.5000
Tm  0.5000  0.7506  0.1597
Tm  0.5000  0.7506  0.8403
Mg  0.0000  0.5000  0.0000
Mg  0.5000  0.0000  0.5000
C  0.0000  0.0000  0.1863
C  0.0000  0.0000  0.8137
C  0.5000  0.5000  0.3137
C  0.5000  0.5000  0.6863

Top 10 peaks for 2θ from 10° to 90°, in order of rising 2θ:
d_spacing	I_rel
3.248	18.8
2.962	30.7
2.901	100.0
2.415	32.0
2.407	29.9
2.389	53.7
2.164	28.8
1.571	21.2
1.452	25.5
1.417	22.2

Calculated powder X-ray diffraction pattern of Pm3Y3In for λ = 1.5418 Å (Cu Kα), from a cell relaxed with PBE.
Intensities are scaled so that the largest is 100.

Crystal structure
Cell lengths 9.5100, 9.5100, 5.6451 Å; angles 90.00, 90.00, 120.00 degrees
Fractional positions:
Pm  0.1066  0.6271  0.2500
Pm  0.3729  0.4795  0.2500
Pm  0.4795  0.1066  0.7500
Pm  0.5205  0.8934  0.2500
Pm  0.6271  0.5205  0.7500
Pm  0.8934  0.3729  0.7500
Y  0.0631  0.8220  0.7500
Y  0.1780  0.2411  0.7500
Y  0.2411  0.0631  0.2500
Y  0.7589  0.9369  0.7500
Y  0.8220  0.7589  0.2500
Y  0.9369  0.1780  0.2500
In  0.3333  0.6667  0.7500
In  0.6667  0.3333  0.2500

Top 10 peaks for 2θ from 10° to 90°, in order of rising 2θ:
d_spacing	I_rel
3.113	25.0
2.823	24.7
2.726	100.0
2.091	16.2
1.797	18.1
1.610	20.1
1.516	20.6
1.500	14.8
1.152	11.5
1.110	7.6

Calculated powder X-ray diffraction pattern of Cd8HgO6 for λ = 1.5418 Å (Cu Kα), from a cell relaxed with PBE.
Intensities are scaled so that the largest is 100.

Crystal structure
Cell lengths 6.4736, 6.4736, 6.4736 Å; angles 95.01, 95.01, 95.01 degrees
Fractional positions:
Cd  0.1081  0.6940  0.3416
Cd  0.2117  0.2117  0.2117
Cd  0.3060  0.6584  0.8919
Cd  0.3416  0.1081  0.6940
Cd  0.6584  0.8919  0.3060
Cd  0.6940  0.3416  0.1081
Cd  0.7883  0.7883  0.7883
Cd  0.8919  0.3060  0.6584
Hg  0.5000  0.5000  0.5000
O  0.1099  0.8274  0.6686
O  0.1726  0.3314  0.8901
O  0.3314  0.8901  0.1726
O  0.6686  0.1099  0.8274
O  0.8274  0.6686  0.1099
O  0.8901  0.1726  0.3314

Top 10 peaks for 2θ from 10° to 90°, in order of rising 2θ:
d_spacing	I_rel
6.419	16.8
2.987	18.5
2.767	100.0
2.756	93.4
2.663	17.8
2.237	18.2
2.168	18.6
1.974	17.4
1.953	25.4
1.593	28.9